Starting from a cell relaxed with PBE, the X-ray powder pattern of Ti4SnO10 was calculated for Cu Kα.
Neutral-atom scattering factors, no anomalous dispersion.

Cell: 4.6989 5.5838 12.9815 Å, 101.62 90.01 90.03°
Space group P-1 (No. 2)
Inequivalent atoms, fractional coordinates:
Ti 0.0000 0.0000 0.0000 [1 per cell]
Ti 0.0017 0.5903 0.4034 [2 per cell]
Ti 0.4824 0.9030 0.5983 [2 per cell]
Ti 0.4952 0.2993 0.2001 [2 per cell]
Ti 0.5000 0.5000 0.0000 [1 per cell]
Sn 0.0014 0.8001 0.2014 [2 per cell]
O 0.1942 0.3460 0.4618 [2 per cell]
O 0.1987 0.1449 0.6533 [2 per cell]
O 0.1989 0.5334 0.2663 [2 per cell]
O 0.1998 0.7451 0.0552 [2 per cell]
O 0.1998 0.9348 0.8645 [2 per cell]
O 0.3020 0.2498 0.0630 [2 per cell]
O 0.3017 0.6479 0.6602 [2 per cell]
O 0.3062 0.8443 0.4611 [2 per cell]
O 0.3175 0.0470 0.2632 [2 per cell]
O 0.3181 0.4440 0.8607 [2 per cell]

Principal peaks in the range 2θ from 10° to 90°, low angle first:
18.90°, 4.696 Å, intensity 9, (1 0 0)
26.85°, 3.321 Å, intensity 100, (1 1 1)
35.29°, 2.544 Å, intensity 56, (0 0 5)
40.32°, 2.237 Å, intensity 16, (1 0 -5)
53.07°, 1.726 Å, intensity 38, (2 2 -3)
53.10°, 1.725 Å, intensity 24, (1 1 6)
55.33°, 1.660 Å, intensity 17, (-2 2 2)
62.55°, 1.485 Å, intensity 12, (-1 3 3)
67.35°, 1.390 Å, intensity 21, (0 2 7)
68.11°, 1.377 Å, intensity 12, (1 1 -9)